(1)
Diffraction record for Cd5CuAg. The powder XRD pattern is calculated, not measured: it uses a structure optimized by DFT (GGA-PBE) and copper Kα.
Peak positions follow from Bragg's law for the DFT cell and can differ from measured ones.

Structural model:
```
14
Lattice="5.169 -5.346 0.000 5.169 5.346 0.000 -1.537 0.000 5.079" Properties=species:S:1:pos:R:3 pbc="T T T"
Cd 3.368 2.007 0.955
Cd 1.690 0.849 3.137
Cd 4.016 3.017 3.809
Cd 2.458 -0.849 0.598
Cd 6.201 2.007 1.584
Cd 2.600 -2.007 3.495
Cd 6.342 0.849 4.480
Cd 4.785 -3.017 1.270
Cd 7.111 -0.849 1.941
Cd 5.432 -2.007 4.123
Cu 5.169 0.000 0.000
Cu 4.400 0.000 2.539
Ag 4.785 4.696 1.270
Ag 4.016 -4.696 3.809
```

Principal peaks in the range 5 to 70 degrees two-theta, sorted by position:
2θ (°)	d_spacing	I/Imax
33.4	2.680	49
37.1	2.421	26
37.6	2.394	100
38.0	2.365	90
38.9	2.315	52
40.0	2.253	45

---

(2)
Diffraction record for Cd12CuAg6. The powder XRD pattern is calculated, not measured: it uses a structure optimized by DFT (GGA-PBE) and copper Kα.
Peak positions follow from Bragg's law for the DFT cell and can differ from measured ones.

Structural model:
```
19
Lattice="5.114 2.953 4.451 -5.114 2.953 4.451 0.000 -5.905 4.451" Properties=species:S:1:pos:R:3 pbc="T T T"
Cd -3.668 -1.887 6.777
Cd -1.651 -0.494 5.213
Cd -0.200 -4.120 6.576
Cd -3.468 2.233 6.576
Cd 1.253 -1.183 5.213
Cd -0.398 -1.677 8.140
Cd 0.398 1.677 5.213
Cd -1.253 1.183 8.140
Cd 3.468 -2.233 6.777
Cd 0.200 4.120 6.777
Cd 1.651 0.494 8.140
Cd 3.668 1.887 6.576
Cu 0.000 0.000 0.000
Ag -0.493 -3.085 3.882
Ag -2.425 1.970 3.882
Ag -2.918 -1.115 9.471
Ag 2.918 1.115 3.882
Ag 2.425 -1.970 9.471
Ag 0.493 3.085 9.471
```

Principal peaks in the range 5 to 70 degrees two-theta, sorted by position:
2θ (°)	d_spacing	I/Imax
30.3	2.953	28
33.6	2.666	36
37.2	2.416	100
38.1	2.364	65
39.1	2.306	46
43.3	2.088	32

---

(3)
Diffraction record for Cd12CuAg3. The powder XRD pattern is calculated, not measured: it uses a structure optimized by DFT (GGA-PBE) and copper Kα.
Peak positions follow from Bragg's law for the DFT cell and can differ from measured ones.

Structural model:
```
16
Lattice="4.278 0.000 0.000 0.000 4.278 0.000 0.000 0.000 17.951" Properties=species:S:1:pos:R:3 pbc="T T T"
Cd 0.000 0.000 0.000
Cd 0.000 0.000 4.435
Cd 0.000 0.000 8.976
Cd 0.000 0.000 13.516
Cd 0.000 2.139 2.138
Cd 0.000 2.139 6.703
Cd 0.000 2.139 11.248
Cd 0.000 2.139 15.813
Cd 2.139 0.000 2.138
Cd 2.139 0.000 6.703
Cd 2.139 0.000 11.248
Cd 2.139 0.000 15.813
Cu 2.139 2.139 0.000
Ag 2.139 2.139 4.421
Ag 2.139 2.139 8.976
Ag 2.139 2.139 13.530
```

Principal peaks in the range 5 to 70 degrees two-theta, sorted by position:
2θ (°)	d_spacing	I/Imax
35.8	2.508	100
40.2	2.244	18
42.3	2.139	31
59.7	1.548	21
61.3	1.512	10
64.9	1.436	1